Entry 1:
Simulated powder XRD pattern of SrCa3Br8 for λ = 1.5418 Å (Cu Kα), from a structure optimized by DFT (PBE).
Intensities are scaled so that the largest is 100.

The 10 most intense peaks (10 to 90 degrees two-theta), in order of falling intensity:
index, 2theta, I_rel
2 2 -2, 29.20, 100
0 4 0, 41.22, 58
4 0 0, 29.48, 49
2 0 -1, 12.96, 47
2 2 0, 25.08, 38
6 2 -2, 42.71, 32
4 4 0, 51.48, 19
0 0 2, 24.93, 19
4 0 -4, 42.31, 16
4 0 -2, 26.08, 16

a = 14.5107 Å, b = 8.7622 Å, c = 8.5544 Å
α = 90.00°, β = 123.37°, γ = 90.00°
Space group C2/m (No. 12)
Symmetry-distinct sites (fractional):
Sr (0.0000, 0.0000, 0.0000) x2
Ca (0.0000, 0.5000, 0.0000) x2
Ca (0.2500, 0.2500, 0.5000) x4
Br (0.0091, 0.2600, 0.2467) x8
Br (0.2431, 0.5000, 0.2610) x4
Br (0.2491, 0.5000, 0.7267) x4

***

Entry 2:
Simulated powder XRD pattern of ThSi2Ir5 for λ = 1.5418 Å (Cu Kα), from a structure optimized by DFT (PBE).
Intensities are scaled so that the largest is 100.

The 10 most intense peaks (10 to 90 degrees two-theta), in order of falling intensity:
index, 2theta, I_rel
1 2 1, 35.82, 100
1 0 3, 36.07, 95
0 2 4, 45.87, 41
2 0 0, 46.17, 30
0 2 2, 31.85, 28
2 2 4, 67.12, 27
0 0 6, 57.22, 19
1 2 7, 78.56, 17
1 3 0, 45.64, 16
1 4 3, 65.79, 11

a = 3.9321 Å, b = 6.9111 Å, c = 9.6516 Å
α = 90.00°, β = 90.00°, γ = 90.00°
Space group Immm (No. 71)
Symmetry-distinct sites (fractional):
Th (0.0000, 0.0000, 0.0000) x2
Si (0.0000, 0.5000, 0.2430) x4
Ir (0.0000, 0.2005, 0.3549) x8
Ir (0.0000, 0.5000, 0.0000) x2